This entry pairs a crystal structure of CeZn2Cd6 with its simulated XRD peak list. Radiation: Cu Kα X-rays. Structure: a PBE-relaxed structure.
No peak broadening, texture or thermal motion is included.

Most intense lines, 2θ = 15–90°, low angle first:
2θ (°)	Rel. int.
33.39	8
33.77	100
35.37	11
39.32	17
41.00	49
55.23	12
59.37	18
70.07	23

Atomic structure:
```
data_CeZn2Cd6
_cell_length_a 4.403
_cell_length_b 4.403
_cell_length_c 10.152
_cell_angle_alpha 90.00
_cell_angle_beta 90.00
_cell_angle_gamma 90.00
_space_group_name_H-M_alt 'P 1'
_space_group_IT_number 1
loop_
_space_group_symop_operation_xyz
'x,y,z'
loop_
_atom_site_label
_atom_site_fract_x
_atom_site_fract_y
_atom_site_fract_z
Ce1 0.000 0.000 0.000
Zn1 0.500 0.500 0.118
Zn2 0.500 0.500 0.882
Cd1 0.000 0.000 0.500
Cd2 0.000 0.500 0.279
Cd3 0.000 0.500 0.721
Cd4 0.500 0.000 0.279
Cd5 0.500 0.000 0.721
Cd6 0.500 0.500 0.500
```